LiFeSiO4: calculated powder diffraction line list (copper Kα), based on a cell relaxed with GGA+U.

Top 10 peaks for 15° ≤ 2θ ≤ 90°, sorted by position:
Position (°2θ), I_rel
15.46, 50
24.58, 73
27.03, 46
31.26, 34
36.79, 100
36.92, 49
44.72, 43
59.28, 28
65.09, 28
65.26, 58

Crystal structure
```
28
Lattice="5.7322 0.0000 0.0000 0.0000 5.7322 0.0000 0.0000 0.0000 8.0679" Properties=species:S:1:pos:R:3 pbc="T T T"
Li 0.0000 1.2507 0.0000
Li 0.0000 4.4816 4.0340
Li 1.2507 0.0000 2.0170
Li 4.4816 0.0000 6.0509
Fe 1.2912 2.8661 2.0170
Fe 2.8661 1.2912 0.0000
Fe 2.8661 4.4410 4.0340
Fe 4.4410 2.8661 6.0509
Si 1.4738 1.4738 5.0425
Si 1.4738 4.2584 7.0594
Si 4.2584 1.4738 3.0255
Si 4.2584 4.2584 1.0085
O 0.1056 1.4822 5.9689
O 0.1056 4.2500 6.1330
O 1.4822 0.1056 4.1160
O 1.4869 2.8410 4.0462
O 1.4869 2.8912 8.0557
O 1.4822 5.6266 7.9859
O 2.8410 1.4869 6.0387
O 2.8410 4.2453 6.0632
O 2.8912 1.4869 2.0292
O 2.8912 4.2453 2.0048
O 4.2500 0.1056 3.9519
O 4.2453 2.8410 4.0218
O 4.2453 2.8912 0.0122
O 4.2500 5.6266 0.0821
O 5.6266 1.4822 2.0990
O 5.6266 4.2500 1.9349
```

***

Li3Fe4Si6O20: calculated powder diffraction line list (copper Kα), based on a cell relaxed with GGA+U.

Top 10 peaks for 15° ≤ 2θ ≤ 90°, sorted by position:
Position (°2θ), I_rel
18.47, 100
18.71, 35
19.34, 72
21.24, 45
21.41, 23
21.66, 32
21.84, 23
32.08, 61
32.66, 47
33.08, 30

Crystal structure
```
33
Lattice="5.4528 0.0000 0.0000 2.7241 4.8088 0.0000 0.1814 0.7581 16.7421" Properties=species:S:1:pos:R:3 pbc="T T T"
Li 0.0000 0.0000 0.0000
Li 0.2972 0.6590 11.7283
Li 5.4451 4.6712 6.6920
Fe 1.6410 1.5908 9.0136
Fe 2.6889 3.1119 6.2525
Fe 2.6900 1.5084 0.4364
Fe 7.2063 3.8296 14.5543
Si 1.3027 2.3186 3.3448
Si 2.9648 2.6598 11.7627
Si 4.2924 3.2669 9.1498
Si 4.4335 2.1482 14.2748
Si 5.4413 3.1651 0.8650
Si 5.4505 1.4694 5.8295
O 2.2875 3.7877 12.7095
O 1.4690 1.6006 6.6045
O 2.3655 3.0427 4.3554
O 1.9596 1.6640 10.9631
O 2.8929 2.9115 8.3210
O 2.3507 1.5878 2.3256
O 3.0184 2.4274 15.1006
O 3.7901 3.6087 10.6882
O 4.6688 4.5238 0.3626
O 4.9438 4.6340 8.5677
O 4.5971 2.8415 6.1288
O 4.0858 1.8170 12.6665
O 4.5910 1.7902 0.5802
O 5.3990 3.4324 14.3943
O 5.7963 3.3142 2.4646
O 5.2738 1.9817 9.1466
O 7.4069 4.9125 6.3300
O 5.1101 0.7996 14.8782
O 5.7838 1.3350 4.2210
O 6.9133 3.0353 0.0719
```

***

LiFeSiO4: calculated powder diffraction line list (copper Kα), based on a cell relaxed with GGA+U.

Top 10 peaks for 15° ≤ 2θ ≤ 90°, sorted by position:
Position (°2θ), I_rel
20.14, 92
20.86, 100
22.71, 98
29.16, 37
30.99, 30
35.26, 33
36.86, 25
37.69, 62
41.33, 22
58.06, 25

Crystal structure
```
42
Lattice="8.8173 0.0000 0.0000 -4.4086 7.6360 0.0000 0.0000 0.0000 8.5153" Properties=species:S:1:pos:R:3 pbc="T T T"
Li 0.0000 0.0000 0.0000
Li 0.0000 0.0000 4.2576
Li 0.0000 5.0906 1.4684
Li 0.0000 5.0906 6.3402
Li 4.4086 2.5453 2.0825
Li 4.4086 2.5453 5.7260
Fe -2.7410 5.2655 2.7997
Fe 1.2191 2.6295 2.7997
Fe 2.8867 0.2590 7.0573
Fe 1.5219 7.3770 2.7997
Fe 3.1895 5.0065 7.0573
Fe 7.1496 2.3705 7.0573
Si -2.6726 5.2156 8.0878
Si 1.2281 2.7136 8.0878
Si 2.9641 0.2932 3.8301
Si 1.4446 7.3427 8.0878
Si 3.1805 4.9224 3.8301
Si 7.0813 2.4203 3.8301
O -1.5703 4.0099 3.5176
O -0.2162 1.7747 3.7340
O -2.0108 5.4818 1.0587
O -2.7636 6.9358 3.7340
O -1.6704 5.9843 7.0118
O 0.0613 3.1972 7.0118
O 1.4288 1.0745 7.9916
O 0.6666 3.1536 1.0587
O 3.0644 0.9995 5.3163
O 2.7995 1.5455 2.7541
O -0.1509 6.9910 3.5176
O 1.7211 4.2711 3.5176
O 2.6875 3.3648 7.7752
O 4.5595 0.6450 7.7752
O 1.6092 6.0905 7.0118
O 1.3442 6.6365 1.0587
O 3.7420 4.4824 5.3163
O 2.9798 6.5614 3.7340
O 4.3473 4.4388 2.7541
O 6.0791 1.6517 2.7541
O 7.1723 0.7001 7.9916
O 6.4194 2.1541 5.3163
O 4.6248 5.8613 7.9916
O 5.9789 3.6261 7.7752
```

***

Li2Fe5Si4O14: calculated powder diffraction line list (copper Kα), based on a cell relaxed with GGA+U.

Top 10 peaks for 15° ≤ 2θ ≤ 90°, sorted by position:
Position (°2θ), I_rel
23.13, 22
25.99, 95
27.99, 50
30.02, 100
32.87, 56
33.02, 64
35.26, 49
37.77, 27
50.24, 23
58.70, 23

Crystal structure
```
25
Lattice="5.5413 0.0000 0.0000 -1.8658 7.3319 0.0000 -0.2226 -3.5635 7.2583" Properties=species:S:1:pos:R:3 pbc="T T T"
Li 0.9878 -0.8780 3.3033
Li 2.4651 4.6464 3.9549
Fe 0.0000 0.0000 0.0000
Fe -0.4892 -0.0437 5.8812
Fe 1.1616 2.0075 2.1455
Fe 2.2913 1.7609 5.1128
Fe 3.9421 3.8121 1.3770
Si -0.4397 3.6189 4.4177
Si 2.1618 -1.4397 6.2565
Si 1.2911 5.2081 1.0017
Si 3.8926 0.1495 2.8405
O -0.2850 0.4048 1.9470
O -0.9728 4.4710 3.1285
O -0.0916 4.7032 0.2882
O 0.4575 2.2979 4.0772
O 1.3069 1.6099 0.1284
O 1.4822 -0.2497 5.3290
O 0.6330 4.6039 5.2539
O 2.8199 -0.8355 2.0044
O 1.9707 4.0181 1.9293
O 2.1460 2.1585 7.1298
O 2.9954 1.4705 3.1811
O 3.5445 -0.9348 6.9701
O 4.4257 -0.7025 4.1297
O 3.7379 3.3636 5.3113
```

***

LiFeSi3O8: calculated powder diffraction line list (copper Kα), based on a cell relaxed with GGA+U.

Top 10 peaks for 15° ≤ 2θ ≤ 90°, sorted by position:
Position (°2θ), I_rel
16.15, 20
22.53, 100
24.16, 52
27.38, 85
28.11, 55
28.37, 66
28.91, 25
29.44, 19
35.49, 26
38.53, 20

Crystal structure
```
26
Lattice="7.0865 0.0000 0.0000 -2.5426 7.2388 0.0000 -0.8449 -4.0887 6.5116" Properties=species:S:1:pos:R:3 pbc="T T T"
Li 0.1899 0.7473 1.8516
Li 3.5092 2.4028 4.6599
Fe 0.5666 0.7159 5.1839
Fe 3.1325 2.4342 1.3277
Si 0.3058 -2.4316 5.5312
Si -0.5983 5.2129 1.3574
Si -0.3566 3.2663 3.7178
Si 4.0557 -0.1162 2.7938
Si 4.2974 -2.0628 5.1542
Si 3.3933 5.5817 0.9804
O -2.0799 5.9117 1.1336
O -1.6336 3.4582 4.7554
O -0.7683 3.8493 2.2515
O -0.7648 0.8109 6.4553
O 0.0307 1.6857 3.6000
O 0.7958 -1.0951 4.7689
O 1.5240 1.6416 0.6129
O 2.7626 -0.9061 2.2099
O 0.9365 4.0562 4.3017
O 2.1751 1.5085 5.8987
O 2.9033 4.2452 1.7426
O 3.6684 1.4644 2.9115
O 4.4639 2.3392 0.0563
O 4.4674 -0.6992 4.2601
O 5.3327 -0.3081 1.7562
O 5.7790 -2.7616 5.3779
```

***

LiFeSi2O6: calculated powder diffraction line list (copper Kα), based on a cell relaxed with GGA+U.

Top 10 peaks for 15° ≤ 2θ ≤ 90°, sorted by position:
Position (°2θ), I_rel
19.01, 27
24.73, 84
24.86, 100
37.50, 12
41.94, 8
46.70, 19
46.92, 17
54.34, 8
54.66, 8
63.97, 14

Crystal structure
```
10
Lattice="2.6882 -4.7094 0.0000 2.6882 4.7094 0.0000 0.0000 0.0000 5.5845" Properties=species:S:1:pos:R:3 pbc="T T T"
Li 0.0000 0.0000 0.0000
Fe 2.6882 0.0000 0.0000
Si 1.3441 2.3547 1.8725
Si 1.3441 -2.3547 3.7119
O 1.4076 1.0110 0.9443
O 2.6882 2.4407 2.7922
O 1.4076 -1.0110 4.6401
O 3.9688 1.0110 4.6401
O 2.6882 -2.4407 2.7922
O 3.9688 -1.0110 0.9443
```

***

LiFeSiO4: calculated powder diffraction line list (copper Kα), based on a cell relaxed with GGA+U.

Top 10 peaks for 15° ≤ 2θ ≤ 90°, sorted by position:
Position (°2θ), I_rel
18.22, 84
19.35, 100
20.31, 79
20.88, 64
21.88, 39
28.26, 22
32.52, 32
34.50, 29
35.91, 22
36.45, 21

Crystal structure
```
14
Lattice="2.6000 -4.8679 0.0000 2.6000 4.8679 0.0000 -0.0420 0.0000 8.7457" Properties=species:S:1:pos:R:3 pbc="T T T"
Li 2.5790 2.9675 4.3728
Li 2.6000 -2.9675 0.0000
Fe 2.6201 1.5561 1.6485
Fe 2.5991 -1.5561 6.0214
Si 2.5836 1.7119 7.1148
Si 2.6046 -1.7119 2.7420
O 3.3829 2.7308 6.0876
O 3.6274 2.6730 2.8253
O 3.2573 1.8005 8.6208
O 2.6844 0.2032 6.5364
O 2.7053 -0.2032 2.1635
O 3.2783 -1.8005 4.2480
O 3.4038 -2.7308 1.7148
O 3.6065 -2.6730 7.1982
```

***

LiFeSiO4: calculated powder diffraction line list (copper Kα), based on a cell relaxed with GGA+U.

Top 10 peaks for 15° ≤ 2θ ≤ 90°, sorted by position:
Position (°2θ), I_rel
16.61, 100
24.60, 12
28.93, 16
31.02, 30
33.70, 9
34.30, 12
37.00, 7
39.85, 15
46.84, 8
48.26, 12

Crystal structure
```
28
Lattice="5.7357 0.0000 0.0000 0.0000 6.0341 0.0000 -3.8462 0.0000 9.7788" Properties=species:S:1:pos:R:3 pbc="T T T"
Li -0.6184 0.0177 2.9880
Li -2.5415 2.9994 7.8774
Li 4.4310 3.0348 1.9014
Li 2.5079 6.0164 6.7907
Fe 0.3232 3.9997 5.8998
Fe 2.2463 5.0514 1.0104
Fe -0.3568 0.9827 8.7684
Fe 1.5663 2.0344 3.8790
Si -0.3898 0.9121 6.1141
Si 1.5333 2.1050 1.2247
Si 0.3562 3.9292 8.5541
Si 2.2793 5.1220 3.6647
O -1.6539 1.0969 7.1744
O 0.2692 1.9201 2.2850
O 1.4722 3.4402 0.2678
O -0.4509 5.6109 5.1572
O 1.8374 0.8050 0.2314
O -0.0857 2.2120 5.1207
O -0.8650 3.8448 7.4412
O 1.0581 5.2064 2.5518
O 0.8314 0.8277 7.2269
O 2.7545 2.1893 2.3375
O 1.9752 3.8221 4.6580
O 0.0521 5.2291 9.5474
O 2.3404 0.4232 4.6215
O 0.4173 2.5939 9.5109
O 1.6203 4.1140 7.4938
O 3.5434 4.9372 2.6044
```

***

LiFeSiO4: calculated powder diffraction line list (copper Kα), based on a cell relaxed with GGA+U.

Top 10 peaks for 15° ≤ 2θ ≤ 90°, sorted by position:
Position (°2θ), I_rel
15.66, 72
22.97, 100
24.02, 14
30.12, 28
32.65, 16
32.95, 21
33.78, 31
34.12, 46
57.92, 18
60.08, 12

Crystal structure
```
28
Lattice="5.3082 0.0000 0.0000 0.0000 11.3199 0.0000 -0.1099 0.0000 5.9347" Properties=species:S:1:pos:R:3 pbc="T T T"
Li 0.2797 0.0000 1.5119
Li 2.2218 9.4864 4.2572
Li 2.9765 3.8265 1.6775
Li 4.9186 5.6600 4.4228
Fe 0.3350 2.7657 3.0218
Fe 2.1919 1.0547 5.8276
Fe 3.0064 6.7147 0.1071
Fe 4.8633 8.4257 2.9128
Si 0.2615 8.5382 5.9001
Si 2.2276 6.6038 3.0544
Si 2.9707 0.9438 2.8803
Si 4.9368 2.8782 0.0346
O -0.0765 3.7347 4.6186
O 0.0076 9.3764 4.4970
O 0.4470 1.4505 0.0246
O 0.5971 6.8355 3.1348
O 1.8877 8.2818 5.8741
O 2.2053 2.4171 2.9165
O 2.4299 0.1240 1.5570
O 2.5767 0.0867 4.2328
O 2.6216 5.7467 1.7019
O 2.7684 5.7840 4.3777
O 2.9930 8.0770 3.0181
O 3.3106 2.6219 0.0606
O 4.6012 1.1755 2.7999
O 4.7513 7.1104 5.9100
O 5.1907 3.7165 1.4377
O 5.2748 9.3946 1.3161
```